[1]
The following is a simulated powder X-ray diffraction pattern of InSe2N. It was derived from a DFT-relaxed cell (PBE, the Materials Project), using λ = 1.5418 Å (Cu Kα).
Kinematic intensities with the Lorentz-polarization factor, no thermal factor.

Peak list (10 most intense, 10° ≤ 2θ ≤ 90°, low angle first)
17.33 deg, I = 697
30.41 deg, I = 464
30.90 deg, I = 162
35.07 deg, I = 408
35.64 deg, I = 1000
47.43 deg, I = 327
47.98 deg, I = 127
53.84 deg, I = 206
64.38 deg, I = 130
82.42 deg, I = 164

Structure:
a = 6.2051 Å, b = 6.2051 Å, c = 6.2051 Å
α = 108.66°, β = 108.66°, γ = 111.11°
Element x y z (fractional)
In  0.2500  0.7500  0.5000
In  0.7500  0.2500  0.5000
Se  0.1934  0.6934  0.8868
Se  0.3066  0.1934  0.5000
Se  0.6934  0.8066  0.5000
Se  0.8066  0.3066  0.1132
N  0.2500  0.2500  0.0000
N  0.7500  0.7500  0.0000

***

[2]
The following is a simulated powder X-ray diffraction pattern of SrLa2Al2O7. It was derived from a DFT-relaxed cell (PBE, the Materials Project), using λ = 1.5418 Å (Cu Kα).
Kinematic intensities with the Lorentz-polarization factor, no thermal factor.

Peak list (10 most intense, 10° ≤ 2θ ≤ 90°, low angle first)
23.91 deg, I = 355
25.87 deg, I = 258
26.88 deg, I = 406
32.07 deg, I = 1000
33.50 deg, I = 727
42.80 deg, I = 559
48.10 deg, I = 442
54.53 deg, I = 186
58.99 deg, I = 369
75.63 deg, I = 144

Structure:
a = 10.6746 Å, b = 10.6746 Å, c = 10.6746 Å
α = 159.58°, β = 159.58°, γ = 29.03°
Element x y z (fractional)
Sr  0.0000  0.0000  0.0000
La  0.1805  0.1805  0.0000
La  0.8195  0.8195  0.0000
Al  0.4101  0.4101  0.0000
Al  0.5899  0.5899  0.0000
O  0.0997  0.5997  0.5000
O  0.2985  0.2985  0.0000
O  0.4003  0.9003  0.5000
O  0.5000  0.5000  0.0000
O  0.5997  0.0997  0.5000
O  0.7015  0.7015  0.0000
O  0.9003  0.4003  0.5000

***

[3]
The following is a simulated powder X-ray diffraction pattern of Ho3Ge3Ru2. It was derived from a DFT-relaxed cell (PBE, the Materials Project), using λ = 1.5418 Å (Cu Kα).
Kinematic intensities with the Lorentz-polarization factor, no thermal factor.

Peak list (10 most intense, 10° ≤ 2θ ≤ 90°, low angle first)
33.16 deg, I = 762
34.28 deg, I = 1000
36.29 deg, I = 267
38.00 deg, I = 663
38.53 deg, I = 207
38.81 deg, I = 245
41.84 deg, I = 221
42.40 deg, I = 567
57.55 deg, I = 195
64.09 deg, I = 201

Structure:
a = 5.8143 Å, b = 5.8143 Å, c = 13.9206 Å
α = 90.00°, β = 90.00°, γ = 136.99°
Element x y z (fractional)
Ho  0.0782  0.9218  0.6131
Ho  0.0782  0.9218  0.8869
Ho  0.3534  0.6466  0.7500
Ho  0.6466  0.3534  0.2500
Ho  0.9218  0.0782  0.1131
Ho  0.9218  0.0782  0.3869
Ge  0.3361  0.6639  0.2500
Ge  0.3843  0.6157  0.5406
Ge  0.3843  0.6157  0.9594
Ge  0.6157  0.3843  0.0406
Ge  0.6157  0.3843  0.4594
Ge  0.6639  0.3361  0.7500
Ru  0.2133  0.7867  0.0827
Ru  0.2133  0.7867  0.4173
Ru  0.7867  0.2133  0.5827
Ru  0.7867  0.2133  0.9173

***

[4]
The following is a simulated powder X-ray diffraction pattern of Y6CoBr10. It was derived from a DFT-relaxed cell (PBE, the Materials Project), using λ = 1.5418 Å (Cu Kα).
Kinematic intensities with the Lorentz-polarization factor, no thermal factor.

Peak list (10 most intense, 10° ≤ 2θ ≤ 90°, low angle first)
10.38 deg, I = 365
10.85 deg, I = 344
30.04 deg, I = 1000
30.52 deg, I = 976
31.22 deg, I = 909
42.98 deg, I = 658
43.76 deg, I = 340
44.22 deg, I = 646
44.73 deg, I = 327
72.46 deg, I = 181

Structure:
a = 7.3581 Å, b = 9.0833 Å, c = 9.2293 Å
α = 108.42°, β = 97.18°, γ = 105.34°
Element x y z (fractional)
Y  0.0281  0.2118  0.4110
Y  0.1214  0.5445  0.2543
Y  0.3605  0.6356  0.6782
Y  0.6395  0.3644  0.3218
Y  0.8786  0.4555  0.7457
Y  0.9719  0.7882  0.5890
Co  0.0000  0.5000  0.5000
Br  0.0864  0.8717  0.3261
Br  0.2103  0.2385  0.1501
Br  0.2562  0.5865  0.9614
Br  0.3560  0.9596  0.7748
Br  0.4513  0.3201  0.5861
Br  0.5487  0.6799  0.4139
Br  0.6440  0.0404  0.2252
Br  0.7438  0.4135  0.0386
Br  0.7897  0.7615  0.8499
Br  0.9136  0.1283  0.6739

***

[5]
The following is a simulated powder X-ray diffraction pattern of NaNb3Te4O16. It was derived from a DFT-relaxed cell (PBE, the Materials Project), using λ = 1.5418 Å (Cu Kα).
Kinematic intensities with the Lorentz-polarization factor, no thermal factor.

Peak list (10 most intense, 10° ≤ 2θ ≤ 90°, low angle first)
18.87 deg, I = 446
25.25 deg, I = 843
26.57 deg, I = 313
27.21 deg, I = 1000
27.31 deg, I = 666
28.84 deg, I = 261
33.17 deg, I = 301
34.99 deg, I = 473
47.27 deg, I = 414
56.02 deg, I = 252

Structure:
a = 6.7126 Å, b = 7.5556 Å, c = 14.4271 Å
α = 90.00°, β = 102.09°, γ = 90.00°
Element x y z (fractional)
Na  0.0000  0.0000  0.0000
Na  0.0000  0.5000  0.0000
Nb  0.4230  0.0002  0.2264
Nb  0.4230  0.4998  0.2264
Nb  0.5000  0.0000  0.5000
Nb  0.5000  0.5000  0.5000
Nb  0.5770  0.9998  0.7736
Nb  0.5770  0.5002  0.7736
Te  0.0108  0.2500  0.4993
Te  0.0743  0.2500  0.7894
Te  0.0957  0.7500  0.7787
Te  0.4475  0.7500  0.0017
Te  0.5525  0.2500  0.9983
Te  0.9043  0.2500  0.2213
Te  0.9257  0.7500  0.2106
Te  0.9892  0.7500  0.5007
O  0.1125  0.7500  0.6275
O  0.1210  0.5608  0.2050
O  0.1210  0.9392  0.2050
O  0.1539  0.7500  0.9230
O  0.1879  0.2500  0.9190
O  0.2030  0.0593  0.4951
O  0.2030  0.4407  0.4951
O  0.2810  0.5535  0.7820
O  0.2810  0.9465  0.7820
O  0.3566  0.2500  0.1892
O  0.3766  0.5575  0.0741
O  0.3766  0.9425  0.0741
O  0.4203  0.7500  0.4809
O  0.4526  0.0331  0.3579
O  0.4526  0.4669  0.3579
O  0.4902  0.2500  0.7610
O  0.5098  0.7500  0.2390
O  0.5474  0.5331  0.6421
O  0.5474  0.9669  0.6421
O  0.5797  0.2500  0.5191
O  0.6234  0.0575  0.9259
O  0.6234  0.4425  0.9259
O  0.6434  0.7500  0.8108
O  0.7190  0.0535  0.2180
O  0.7190  0.4465  0.2180
O  0.7970  0.5593  0.5049
O  0.7970  0.9407  0.5049
O  0.8121  0.7500  0.0810
O  0.8461  0.2500  0.0770
O  0.8790  0.0608  0.7950
O  0.8790  0.4392  0.7950
O  0.8875  0.2500  0.3725

***

[6]
The following is a simulated powder X-ray diffraction pattern of K3Y. It was derived from a DFT-relaxed cell (PBE, the Materials Project), using λ = 1.5418 Å (Cu Kα).
Kinematic intensities with the Lorentz-polarization factor, no thermal factor.

Peak list (10 most intense, 10° ≤ 2θ ≤ 90°, low angle first)
17.28 deg, I = 134
23.95 deg, I = 230
25.10 deg, I = 273
27.09 deg, I = 1000
34.97 deg, I = 163
42.12 deg, I = 184
45.46 deg, I = 220
49.66 deg, I = 219
50.80 deg, I = 152
68.05 deg, I = 116

Structure:
a = 8.5811 Å, b = 8.5811 Å, c = 7.0958 Å
α = 90.00°, β = 90.00°, γ = 120.00°
Element x y z (fractional)
K  0.1720  0.3440  0.2500
K  0.1720  0.8280  0.2500
K  0.3440  0.1720  0.7500
K  0.6560  0.8280  0.2500
K  0.8280  0.1720  0.7500
K  0.8280  0.6560  0.7500
Y  0.3333  0.6667  0.7500
Y  0.6667  0.3333  0.2500

***

Please write out number 3 again, unchanged.
The following is a simulated powder X-ray diffraction pattern of Ho3Ge3Ru2. It was derived from a DFT-relaxed cell (PBE, the Materials Project), using λ = 1.5418 Å (Cu Kα).
Kinematic intensities with the Lorentz-polarization factor, no thermal factor.

Peak list (10 most intense, 10° ≤ 2θ ≤ 90°, low angle first)
33.16 deg, I = 762
34.28 deg, I = 1000
36.29 deg, I = 267
38.00 deg, I = 663
38.53 deg, I = 207
38.81 deg, I = 245
41.84 deg, I = 221
42.40 deg, I = 567
57.55 deg, I = 195
64.09 deg, I = 201

Structure:
a = 5.8143 Å, b = 5.8143 Å, c = 13.9206 Å
α = 90.00°, β = 90.00°, γ = 136.99°
Element x y z (fractional)
Ho  0.0782  0.9218  0.6131
Ho  0.0782  0.9218  0.8869
Ho  0.3534  0.6466  0.7500
Ho  0.6466  0.3534  0.2500
Ho  0.9218  0.0782  0.1131
Ho  0.9218  0.0782  0.3869
Ge  0.3361  0.6639  0.2500
Ge  0.3843  0.6157  0.5406
Ge  0.3843  0.6157  0.9594
Ge  0.6157  0.3843  0.0406
Ge  0.6157  0.3843  0.4594
Ge  0.6639  0.3361  0.7500
Ru  0.2133  0.7867  0.0827
Ru  0.2133  0.7867  0.4173
Ru  0.7867  0.2133  0.5827
Ru  0.7867  0.2133  0.9173

***

Repeat the second record exactly.
The following is a simulated powder X-ray diffraction pattern of SrLa2Al2O7. It was derived from a DFT-relaxed cell (PBE, the Materials Project), using λ = 1.5418 Å (Cu Kα).
Kinematic intensities with the Lorentz-polarization factor, no thermal factor.

Peak list (10 most intense, 10° ≤ 2θ ≤ 90°, low angle first)
23.91 deg, I = 355
25.87 deg, I = 258
26.88 deg, I = 406
32.07 deg, I = 1000
33.50 deg, I = 727
42.80 deg, I = 559
48.10 deg, I = 442
54.53 deg, I = 186
58.99 deg, I = 369
75.63 deg, I = 144

Structure:
a = 10.6746 Å, b = 10.6746 Å, c = 10.6746 Å
α = 159.58°, β = 159.58°, γ = 29.03°
Element x y z (fractional)
Sr  0.0000  0.0000  0.0000
La  0.1805  0.1805  0.0000
La  0.8195  0.8195  0.0000
Al  0.4101  0.4101  0.0000
Al  0.5899  0.5899  0.0000
O  0.0997  0.5997  0.5000
O  0.2985  0.2985  0.0000
O  0.4003  0.9003  0.5000
O  0.5000  0.5000  0.0000
O  0.5997  0.0997  0.5000
O  0.7015  0.7015  0.0000
O  0.9003  0.4003  0.5000